CePr2Sb4: simulated powder diffractogram (Cu Kα (λ = 1.5418 Å)), based on a structure optimized by DFT (PBE).
No peak broadening, texture or thermal motion is included.

Crystal structure
a = 4.3688 Å, b = 4.3688 Å, c = 12.0984 Å
α = 90.00°, β = 90.00°, γ = 90.00°
Space group P-4m2 (No. 115)
Asymmetric unit:
Ce 0.0000 0.0000 0.0000
Pr 0.0000 0.5000 0.7071
Sb 0.0000 0.0000 0.5000
Sb 0.0000 0.5000 0.1858
Sb 0.5000 0.5000 0.5000

Most intense lines, 5° ≤ 2θ ≤ 70°, most intense first:
2θ 32.55, intensity 100, (1 1 2)
2θ 25.14, intensity 38, (1 0 2)
2θ 41.33, intensity 34, (2 0 0)
2θ 36.12, intensity 31, (1 0 4)
2θ 69.83, intensity 22, (3 1 2)
2θ 56.04, intensity 17, (2 1 4)
2θ 29.53, intensity 13, (0 0 4)
2θ 48.99, intensity 12, (2 1 2)
2θ 59.88, intensity 11, (2 2 0)
2θ 51.61, intensity 11, (2 0 4)